Diffraction record for Li2Cr3SbO8. The powder XRD pattern is calculated, not measured: it uses a crystal structure in Alexandria, relaxed with PBE+U and a wavelength of 1.5418 Å.

Largest 10 diffraction maxima, in order of rising 2θ, 10° ≤ 2θ ≤ 90°:
d 4.559, I = 100
d 3.526, I = 30
d 2.729, I = 36
d 2.539, I = 50
d 2.499, I = 27
d 2.279, I = 15
d 2.015, I = 28
d 1.670, I = 20
d 1.545, I = 26
d 1.494, I = 23

Lattice parameters (Å, degrees): 5.9755 5.9755 9.6334 90.00 90.00 120.00
Fractional coordinates of all 28 atoms:
Li (0.0000, 0.0000, 0.0000)
Li (0.0000, 0.0000, 0.5000)
Li (0.3333, 0.6667, 0.0873)
Li (0.6667, 0.3333, 0.5873)
Cr (0.1700, 0.3400, 0.7773)
Cr (0.1700, 0.8300, 0.7773)
Cr (0.3400, 0.1700, 0.2773)
Cr (0.6600, 0.8300, 0.7773)
Cr (0.8300, 0.1700, 0.2773)
Cr (0.8300, 0.6600, 0.2773)
Sb (0.3333, 0.6667, 0.5034)
Sb (0.6667, 0.3333, 0.0034)
O (0.0000, 0.0000, 0.1855)
O (0.0000, 0.0000, 0.6855)
O (0.0372, 0.5186, 0.6479)
O (0.1655, 0.3311, 0.3963)
O (0.1655, 0.8345, 0.3963)
O (0.3311, 0.1655, 0.8963)
O (0.3333, 0.6667, 0.8825)
O (0.4814, 0.5186, 0.6479)
O (0.4814, 0.9628, 0.6479)
O (0.5186, 0.0372, 0.1479)
O (0.5186, 0.4814, 0.1479)
O (0.6667, 0.3333, 0.3825)
O (0.6689, 0.8345, 0.3963)
O (0.8345, 0.1655, 0.8963)
O (0.8345, 0.6689, 0.8963)
O (0.9628, 0.4814, 0.1479)